(1)
# ErCu4Pd
Theoretical X-ray diffraction stick pattern, λ = 1.5418 Å (Cu Kα). Input: DFT lattice parameters and positions (GGA-PBE).
Neutral-atom scattering factors, no anomalous dispersion.

Principal peaks in the range 2θ = 10–90°, in order of rising 2θ:
21.88°, rel. 7
25.32°, rel. 3
36.11°, rel. 53
42.63°, rel. 100
44.62°, rel. 21
57.07°, rel. 2
64.94°, rel. 19
69.42°, rel. 30
76.62°, rel. 22
87.75°, rel. 9

Structure:
a b c (Å): 4.974 4.974 4.974
angles (deg): 60.00 60.00 60.00
Fractional coordinates of all 6 atoms:
1 Er 0.000 0.000 0.000
2 Cu 0.376 0.376 0.376
3 Cu 0.376 0.376 0.872
4 Cu 0.376 0.872 0.376
5 Cu 0.872 0.376 0.376
6 Pd 0.750 0.750 0.750

***

(2)
# Er2CuPt
Theoretical X-ray diffraction stick pattern, λ = 1.5418 Å (Cu Kα). Input: DFT lattice parameters and positions (GGA-PBE).
Neutral-atom scattering factors, no anomalous dispersion.

Principal peaks in the range 2θ = 10–90°, in order of rising 2θ:
22.31°, rel. 10
36.83°, rel. 100
43.48°, rel. 5
53.07°, rel. 18
58.26°, rel. 2
66.34°, rel. 36
70.95°, rel. 2
78.36°, rel. 11
82.71°, rel. 2
89.88°, rel. 17

Structure:
a b c (Å): 4.881 4.881 4.881
angles (deg): 60.00 60.00 60.00
Fractional coordinates of all 4 atoms:
1 Er 0.250 0.250 0.250
2 Er 0.750 0.750 0.750
3 Cu 0.000 0.000 0.000
4 Pt 0.500 0.500 0.500

***

(3)
# RbEr2Cu3S5
Theoretical X-ray diffraction stick pattern, λ = 1.5418 Å (Cu Kα). Input: DFT lattice parameters and positions (GGA-PBE).
Neutral-atom scattering factors, no anomalous dispersion.

Principal peaks in the range 2θ = 10–90°, in order of rising 2θ:
12.72°, rel. 42
26.19°, rel. 46
28.67°, rel. 100
30.29°, rel. 40
31.76°, rel. 45
32.70°, rel. 52
37.11°, rel. 51
39.68°, rel. 42
46.16°, rel. 39
49.29°, rel. 41

Structure:
a b c (Å): 7.229 7.229 16.433
angles (deg): 90.00 90.00 148.43
Fractional coordinates of all 22 atoms:
1 Rb 0.065 0.935 0.750
2 Rb 0.935 0.065 0.250
3 Er 0.192 0.808 0.093
4 Er 0.192 0.808 0.407
5 Er 0.808 0.192 0.593
6 Er 0.808 0.192 0.907
7 Cu 0.345 0.655 0.750
8 Cu 0.416 0.584 0.037
9 Cu 0.416 0.584 0.463
10 Cu 0.584 0.416 0.537
11 Cu 0.584 0.416 0.963
12 Cu 0.655 0.345 0.250
13 S 0.168 0.832 0.569
14 S 0.168 0.832 0.931
15 S 0.238 0.762 0.250
16 S 0.438 0.562 0.613
17 S 0.438 0.562 0.887
18 S 0.562 0.438 0.113
19 S 0.562 0.438 0.387
20 S 0.762 0.238 0.750
21 S 0.832 0.168 0.069
22 S 0.832 0.168 0.431

***

(4)
# RbEr2Cu3Se5
Theoretical X-ray diffraction stick pattern, λ = 1.5418 Å (Cu Kα). Input: DFT lattice parameters and positions (GGA-PBE).
Neutral-atom scattering factors, no anomalous dispersion.

Principal peaks in the range 2θ = 10–90°, in order of rising 2θ:
12.18°, rel. 53
28.48°, rel. 74
28.96°, rel. 100
30.39°, rel. 72
31.48°, rel. 76
35.56°, rel. 74
37.91°, rel. 57
39.01°, rel. 48
44.08°, rel. 66
47.26°, rel. 64

Structure:
a b c (Å): 7.554 7.554 17.050
angles (deg): 90.00 90.00 148.44
Fractional coordinates of all 22 atoms:
1 Rb 0.061 0.939 0.750
2 Rb 0.939 0.061 0.250
3 Er 0.192 0.808 0.092
4 Er 0.192 0.808 0.408
5 Er 0.808 0.192 0.592
6 Er 0.808 0.192 0.908
7 Cu 0.341 0.659 0.750
8 Cu 0.416 0.584 0.030
9 Cu 0.416 0.584 0.470
10 Cu 0.584 0.416 0.530
11 Cu 0.584 0.416 0.970
12 Cu 0.659 0.341 0.250
13 Se 0.167 0.833 0.571
14 Se 0.167 0.833 0.929
15 Se 0.245 0.755 0.250
16 Se 0.440 0.560 0.616
17 Se 0.440 0.560 0.884
18 Se 0.560 0.440 0.116
19 Se 0.560 0.440 0.384
20 Se 0.755 0.245 0.750
21 Se 0.833 0.167 0.071
22 Se 0.833 0.167 0.429

***

(5)
# ErCuS2
Theoretical X-ray diffraction stick pattern, λ = 1.5418 Å (Cu Kα). Input: DFT lattice parameters and positions (GGA-PBE).
Neutral-atom scattering factors, no anomalous dispersion.

Principal peaks in the range 2θ = 10–90°, in order of rising 2θ:
15.70°, rel. 43
24.61°, rel. 100
26.32°, rel. 25
27.65°, rel. 96
33.67°, rel. 59
39.30°, rel. 82
39.60°, rel. 38
46.17°, rel. 31
46.98°, rel. 52
50.12°, rel. 29

Structure:
a b c (Å): 13.330 3.932 6.231
angles (deg): 90.00 90.00 90.00
Fractional coordinates of all 16 atoms:
1 Er 0.133 0.250 0.001
2 Er 0.367 0.750 0.501
3 Er 0.633 0.250 0.499
4 Er 0.867 0.750 0.999
5 Cu 0.045 0.750 0.374
6 Cu 0.455 0.250 0.874
7 Cu 0.545 0.750 0.126
8 Cu 0.955 0.250 0.626
9 S 0.040 0.750 0.755
10 S 0.206 0.750 0.238
11 S 0.294 0.250 0.738
12 S 0.460 0.250 0.255
13 S 0.540 0.750 0.745
14 S 0.706 0.750 0.262
15 S 0.794 0.250 0.762
16 S 0.960 0.250 0.245

***

(6)
# ErCuS2
Theoretical X-ray diffraction stick pattern, λ = 1.5418 Å (Cu Kα). Input: DFT lattice parameters and positions (GGA-PBE).
Neutral-atom scattering factors, no anomalous dispersion.

Principal peaks in the range 2θ = 10–90°, in order of rising 2θ:
15.67°, rel. 37
24.59°, rel. 94
26.73°, rel. 22
27.49°, rel. 100
33.53°, rel. 63
39.15°, rel. 70
39.55°, rel. 36
45.81°, rel. 25
46.88°, rel. 47
50.02°, rel. 34

Structure:
a b c (Å): 3.962 6.243 13.334
angles (deg): 90.00 90.00 90.00
Fractional coordinates of all 16 atoms:
1 Er 0.227 0.250 0.134
2 Er 0.273 0.750 0.634
3 Er 0.727 0.250 0.866
4 Er 0.773 0.750 0.366
5 Cu 0.202 0.148 0.446
6 Cu 0.298 0.852 0.946
7 Cu 0.702 0.352 0.554
8 Cu 0.798 0.648 0.054
9 S 0.229 0.488 0.960
10 S 0.230 0.012 0.794
11 S 0.270 0.988 0.294
12 S 0.271 0.512 0.460
13 S 0.729 0.012 0.040
14 S 0.730 0.488 0.206
15 S 0.770 0.512 0.706
16 S 0.771 0.988 0.540

***

(7)
# Er3CuSiS7
Theoretical X-ray diffraction stick pattern, λ = 1.5418 Å (Cu Kα). Input: DFT lattice parameters and positions (GGA-PBE).
Neutral-atom scattering factors, no anomalous dispersion.

Principal peaks in the range 2θ = 10–90°, in order of rising 2θ:
18.75°, rel. 32
23.94°, rel. 31
26.17°, rel. 100
27.78°, rel. 34
31.40°, rel. 27
36.64°, rel. 45
38.20°, rel. 38
41.47°, rel. 39
42.42°, rel. 43
49.01°, rel. 25

Structure:
a b c (Å): 9.810 9.810 5.697
angles (deg): 90.00 90.00 120.00
Fractional coordinates of all 24 atoms:
1 Er 0.133 0.358 0.000
2 Er 0.225 0.867 0.000
3 Er 0.358 0.225 0.500
4 Er 0.642 0.775 0.000
5 Er 0.775 0.133 0.500
6 Er 0.867 0.642 0.500
7 Cu 0.000 0.000 0.449
8 Cu 0.000 0.000 0.949
9 Si 0.333 0.667 0.588
10 Si 0.667 0.333 0.088
11 S 0.098 0.260 0.467
12 S 0.104 0.581 0.739
13 S 0.162 0.902 0.467
14 S 0.260 0.162 0.967
15 S 0.333 0.667 0.216
16 S 0.419 0.524 0.739
17 S 0.476 0.896 0.739
18 S 0.524 0.104 0.239
19 S 0.581 0.476 0.239
20 S 0.667 0.333 0.716
21 S 0.740 0.838 0.467
22 S 0.838 0.098 0.967
23 S 0.896 0.419 0.239
24 S 0.902 0.740 0.967

***

(8)
# Er3CuSnS7
Theoretical X-ray diffraction stick pattern, λ = 1.5418 Å (Cu Kα). Input: DFT lattice parameters and positions (GGA-PBE).
Neutral-atom scattering factors, no anomalous dispersion.

Principal peaks in the range 2θ = 10–90°, in order of rising 2θ:
21.11°, rel. 17
25.63°, rel. 100
28.99°, rel. 21
36.14°, rel. 27
36.99°, rel. 48
40.77°, rel. 21
45.54°, rel. 15
47.67°, rel. 23
49.40°, rel. 28
60.04°, rel. 17

Structure:
a b c (Å): 9.721 6.160 9.722
angles (deg): 90.00 120.00 90.00
Fractional coordinates of all 24 atoms:
1 Er 0.142 0.000 0.283
2 Er 0.217 0.000 0.858
3 Er 0.358 0.500 0.642
4 Er 0.642 0.000 0.358
5 Er 0.783 0.500 0.142
6 Er 0.858 0.500 0.717
7 Cu 0.000 0.099 0.499
8 Cu 0.000 0.599 0.501
9 Sn 0.333 0.438 0.167
10 Sn 0.667 0.938 0.833
11 S 0.083 0.251 0.015
12 S 0.110 0.574 0.348
13 S 0.152 0.573 0.763
14 S 0.262 0.074 0.610
15 S 0.333 0.826 0.167
16 S 0.432 0.251 0.417
17 S 0.485 0.250 0.068
18 S 0.515 0.750 0.932
19 S 0.568 0.751 0.583
20 S 0.667 0.326 0.833
21 S 0.738 0.574 0.390
22 S 0.848 0.073 0.237
23 S 0.890 0.074 0.652
24 S 0.917 0.751 0.985